[1]
For Hf2Al2Ni3Pd, a cell relaxed with GGA-PBE gives the simulated powder diffraction line list in this record (CuKα).
No peak broadening, texture or thermal motion is included.

Top 10 peaks for 10 to 80 degrees two-theta, most intense first:
hkl, d (Å), 2θ (°), intensity
1 1 2, 2.184, 41.3, 1000
1 0 1, 3.563, 25.0, 670
2 0 0, 2.177, 41.5, 501
3 1 2, 1.258, 75.6, 326
2 1 1, 1.858, 49.0, 225
2 2 0, 1.540, 60.1, 164
2 0 4, 1.262, 75.3, 160
1 0 3, 1.866, 48.8, 109
2 1 3, 1.417, 65.9, 89
0 0 4, 1.549, 59.7, 80

```
data_Hf2Al2Ni3Pd
_chemical_formula_sum 'Hf2 Al2 Ni3 Pd1'
_cell_length_a 4.354
_cell_length_b 4.354
_cell_length_c 6.197
_cell_angle_alpha 90.00
_cell_angle_beta 90.00
_cell_angle_gamma 90.00
_symmetry_space_group_name_H-M 'P -4 m 2'
_symmetry_Int_Tables_number 115
_symmetry_space_group_name_Hall 'P -4 -2'
loop_
_atom_site_label
_atom_site_type_symbol
_atom_site_fract_x
_atom_site_fract_y
_atom_site_fract_z
_atom_site_occupancy
Hf1 Hf 0.000 0.500 0.238 1
Al1 Al 0.000 0.500 0.755 1
Ni1 Ni 0.000 0.000 0.000 1
Ni2 Ni 0.500 0.500 0.000 1
Ni3 Ni 0.500 0.500 0.500 1
Pd1 Pd 0.000 0.000 0.500 1
```


[2]
For Zr5Pt3, a cell relaxed with GGA-PBE gives the simulated powder diffraction line list in this record (CuKα).
No peak broadening, texture or thermal motion is included.

Top 10 peaks for 10 to 80 degrees two-theta, most intense first:
hkl, d (Å), 2θ (°), intensity
4 1 1, 2.421, 37.1, 1000
3 0 2, 2.261, 39.9, 599
3 3 0, 2.389, 37.6, 456
5 2 1, 1.866, 48.8, 351
3 0 1, 3.284, 27.2, 324
0 0 2, 2.699, 33.2, 263
4 1 3, 1.499, 61.9, 223
1 1 0, 7.168, 12.3, 207
5 5 2, 1.266, 75.0, 207
4 1 0, 2.709, 33.1, 176

```
data_Zr5Pt3
_chemical_formula_sum 'Zr30 Pt18'
_cell_length_a 14.3361
_cell_length_b 14.3361
_cell_length_c 5.3982
_cell_angle_alpha 90.00
_cell_angle_beta 90.00
_cell_angle_gamma 120.00
_symmetry_space_group_name_H-M 'P 63 m c'
_symmetry_Int_Tables_number 186
_symmetry_space_group_name_Hall 'P 6c -2c'
loop_
_atom_site_label
_atom_site_type_symbol
_atom_site_fract_x
_atom_site_fract_y
_atom_site_fract_z
_atom_site_occupancy
Zr1 Zr 0.0015 0.3340 0.0000 1
Zr2 Zr 0.0818 0.1637 0.2522 1
Zr3 Zr 0.1696 0.5848 0.2509 1
Zr4 Zr 0.2515 0.5030 0.7503 1
Pt1 Pt 0.0694 0.5347 0.7505 1
Pt2 Pt 0.1320 0.2641 0.7442 1
Pt3 Pt 0.2014 0.4028 0.2552 1
```


[3]
For ErLuSiGeOs, a cell relaxed with GGA-PBE gives the simulated powder diffraction line list in this record (CuKα).
No peak broadening, texture or thermal motion is included.

Top 10 peaks for 10 to 80 degrees two-theta, most intense first:
hkl, d (Å), 2θ (°), intensity
1 1 2, 2.642, 33.9, 1000
3 1 -3, 2.405, 37.4, 542
0 0 4, 2.198, 41.1, 370
0 2 0, 2.099, 43.1, 358
3 1 1, 2.188, 41.3, 329
1 1 -2, 3.213, 27.8, 325
0 2 4, 1.518, 61.0, 231
4 0 -1, 2.567, 34.9, 192
3 1 -1, 2.682, 33.4, 183
7 1 -3, 1.419, 65.8, 183

```
data_ErLuSiGeOs
_chemical_formula_sum 'Er4 Lu4 Si4 Ge4 Os4'
_cell_length_a 10.559
_cell_length_b 4.198
_cell_length_c 9.982
_cell_angle_alpha 90.00
_cell_angle_beta 118.35
_cell_angle_gamma 90.00
_symmetry_space_group_name_H-M 'C 1 2/m 1'
_symmetry_Int_Tables_number 12
_symmetry_space_group_name_Hall '-C 2y'
loop_
_atom_site_label
_atom_site_type_symbol
_atom_site_fract_x
_atom_site_fract_y
_atom_site_fract_z
_atom_site_occupancy
Er1 Er 0.007 0.000 0.175 1
Lu1 Lu 0.184 0.000 0.617 1
Si1 Si 0.142 0.500 0.060 1
Ge1 Ge 0.016 0.500 0.377 1
Os1 Os 0.233 0.500 0.873 1
```


[4]
For ZnAu2F8, a cell relaxed with GGA-PBE gives the simulated powder diffraction line list in this record (CuKα).
No peak broadening, texture or thermal motion is included.

Top 10 peaks for 10 to 80 degrees two-theta, most intense first:
hkl, d (Å), 2θ (°), intensity
0 1 2, 3.600, 24.7, 1000
1 1 -2, 3.341, 26.7, 740
1 1 0, 3.633, 24.5, 715
1 0 2, 3.081, 29.0, 684
1 1 -1, 3.710, 24.0, 489
2 1 -4, 2.010, 45.1, 403
1 0 -4, 2.610, 34.4, 368
2 0 -2, 2.648, 33.8, 336
0 2 1, 2.516, 35.7, 315
1 0 0, 5.077, 17.5, 287

```
data_ZnAu2F8
_chemical_formula_sum 'Zn2 Au4 F16'
_cell_length_a 5.386
_cell_length_b 5.200
_cell_length_c 10.585
_cell_angle_alpha 90.00
_cell_angle_beta 109.50
_cell_angle_gamma 90.00
_symmetry_space_group_name_H-M 'P 1 21/c 1'
_symmetry_Int_Tables_number 14
_symmetry_space_group_name_Hall '-P 2ybc'
loop_
_atom_site_label
_atom_site_type_symbol
_atom_site_fract_x
_atom_site_fract_y
_atom_site_fract_z
_atom_site_occupancy
Zn1 Zn 0.000 0.000 0.000 1
Au1 Au 0.356 0.188 0.343 1
F1 F 0.042 0.074 0.196 1
F2 F 0.153 0.168 0.468 1
F3 F 0.336 0.691 0.510 1
F4 F 0.444 0.694 0.279 1
```


[5]
For CsTb2Cu3Se4S, a cell relaxed with GGA-PBE gives the simulated powder diffraction line list in this record (CuKα).
No peak broadening, texture or thermal motion is included.

Top 10 peaks for 10 to 80 degrees two-theta, most intense first:
hkl, d (Å), 2θ (°), intensity
1 3 1, 3.096, 28.8, 1000
1 3 4, 2.543, 35.3, 903
0 0 6, 2.878, 31.1, 880
1 3 2, 2.957, 30.2, 841
1 3 0, 3.147, 28.4, 832
1 3 7, 1.942, 46.8, 779
2 0 0, 2.053, 44.1, 762
0 4 1, 3.595, 24.8, 629
1 5 0, 2.391, 37.6, 569
1 5 2, 2.304, 39.1, 559

```
data_CsTb2Cu3Se4S
_chemical_formula_sum 'Cs4 Tb8 Cu12 Se16 S4'
_cell_length_a 4.106
_cell_length_b 14.702
_cell_length_c 17.268
_cell_angle_alpha 90.00
_cell_angle_beta 90.00
_cell_angle_gamma 90.00
_symmetry_space_group_name_H-M 'C m c m'
_symmetry_Int_Tables_number 63
_symmetry_space_group_name_Hall '-C 2c 2'
loop_
_atom_site_label
_atom_site_type_symbol
_atom_site_fract_x
_atom_site_fract_y
_atom_site_fract_z
_atom_site_occupancy
Cs1 Cs 0.000 0.066 0.250 1
Tb1 Tb 0.000 0.193 0.595 1
Cu1 Cu 0.000 0.337 0.250 1
Cu2 Cu 0.000 0.415 0.529 1
Se1 Se 0.000 0.167 0.070 1
Se2 Se 0.000 0.441 0.114 1
S1 S 0.000 0.231 0.750 1
```


[6]
For Ba2ZnTcN6, a cell relaxed with GGA-PBE gives the simulated powder diffraction line list in this record (CuKα).
No peak broadening, texture or thermal motion is included.

Top 10 peaks for 10 to 80 degrees two-theta, most intense first:
hkl, d (Å), 2θ (°), intensity
2 0 0, 2.894, 30.9, 1000
3 1 2, 1.671, 55.0, 393
2 2 0, 2.046, 44.3, 285
4 0 0, 1.447, 64.4, 174
4 2 0, 1.294, 73.1, 170
2 0 2, 2.363, 38.1, 65
1 1 0, 4.093, 21.7, 25
4 2 2, 1.234, 77.3, 20
1 0 1, 4.726, 18.8, 18
3 1 0, 1.830, 49.8, 15

```
data_Ba2ZnTcN6
_chemical_formula_sum 'Ba4 Zn2 Tc2 N12'
_cell_length_a 5.787
_cell_length_b 5.787
_cell_length_c 8.188
_cell_angle_alpha 90.00
_cell_angle_beta 90.00
_cell_angle_gamma 90.00
_symmetry_space_group_name_H-M 'I 4/m'
_symmetry_Int_Tables_number 87
_symmetry_space_group_name_Hall '-I 4'
loop_
_atom_site_label
_atom_site_type_symbol
_atom_site_fract_x
_atom_site_fract_y
_atom_site_fract_z
_atom_site_occupancy
Ba1 Ba 0.000 0.500 0.250 1
Zn1 Zn 0.000 0.000 0.000 1
Tc1 Tc 0.000 0.000 0.500 1
N1 N 0.000 0.000 0.259 1
N2 N 0.240 0.242 0.500 1
```


[7]
For KWCl6, a cell relaxed with GGA-PBE gives the simulated powder diffraction line list in this record (CuKα).
No peak broadening, texture or thermal motion is included.

Top 10 peaks for 10 to 80 degrees two-theta, most intense first:
hkl, d (Å), 2θ (°), intensity
1 1 -1, 5.178, 17.1, 1000
1 1 1, 4.794, 18.5, 914
0 0 2, 5.859, 15.1, 619
2 0 0, 5.748, 15.4, 589
2 0 -2, 4.614, 19.2, 402
1 1 -3, 3.345, 26.6, 355
3 1 -1, 3.304, 27.0, 276
3 1 -3, 2.760, 32.4, 275
2 2 -1, 2.736, 32.7, 268
2 0 2, 3.731, 23.8, 257

```
data_KWCl6
_chemical_formula_sum 'K4 W4 Cl24'
_cell_length_a 11.756
_cell_length_b 6.255
_cell_length_c 11.983
_cell_angle_alpha 90.00
_cell_angle_beta 102.08
_cell_angle_gamma 90.00
_symmetry_space_group_name_H-M 'C 1 2/c 1'
_symmetry_Int_Tables_number 15
_symmetry_space_group_name_Hall '-C 2yc'
loop_
_atom_site_label
_atom_site_type_symbol
_atom_site_fract_x
_atom_site_fract_y
_atom_site_fract_z
_atom_site_occupancy
K1 K 0.000 0.114 0.250 1
W1 W 0.250 0.250 0.000 1
Cl1 Cl 0.076 0.389 0.893 1
Cl2 Cl 0.150 0.055 0.539 1
Cl3 Cl 0.213 0.416 0.164 1
```


[8]
For BaPrHgAs2, a cell relaxed with GGA-PBE gives the simulated powder diffraction line list in this record (CuKα).
No peak broadening, texture or thermal motion is included.

Top 10 peaks for 10 to 80 degrees two-theta, most intense first:
hkl, d (Å), 2θ (°), intensity
1 5 0, 2.789, 32.1, 1000
1 1 2, 2.849, 31.4, 632
1 3 2, 2.600, 34.5, 574
1 3 1, 3.220, 27.7, 374
0 2 1, 5.824, 15.2, 335
2 0 0, 2.202, 41.0, 315
1 1 1, 3.733, 23.8, 239
0 4 2, 2.912, 30.7, 212
0 2 2, 3.515, 25.3, 208
0 2 3, 2.450, 36.7, 163

```
data_BaPrHgAs2
_chemical_formula_sum 'Ba4 Pr4 Hg4 As8'
_cell_length_a 4.405
_cell_length_b 18.004
_cell_length_c 7.637
_cell_angle_alpha 90.00
_cell_angle_beta 90.00
_cell_angle_gamma 90.00
_symmetry_space_group_name_H-M 'C m c 21'
_symmetry_Int_Tables_number 36
_symmetry_space_group_name_Hall 'C 2c -2'
loop_
_atom_site_label
_atom_site_type_symbol
_atom_site_fract_x
_atom_site_fract_y
_atom_site_fract_z
_atom_site_occupancy
Ba1 Ba 0.000 0.196 0.000 1
Pr1 Pr 0.000 0.024 0.659 1
Hg1 Hg 0.000 0.395 0.826 1
As1 As 0.000 0.170 0.481 1
As2 As 0.000 0.452 0.434 1
```


[9]
For NdHo3Si4, a cell relaxed with GGA-PBE gives the simulated powder diffraction line list in this record (CuKα).
No peak broadening, texture or thermal motion is included.

Top 10 peaks for 10 to 80 degrees two-theta, most intense first:
hkl, d (Å), 2θ (°), intensity
1 1 -1, 2.967, 30.1, 1000
2 0 1, 2.699, 33.2, 809
0 1 2, 2.769, 32.3, 727
1 0 -3, 2.411, 37.3, 457
1 1 2, 2.493, 36.0, 420
1 1 0, 3.197, 27.9, 399
2 1 -1, 2.210, 40.8, 376
2 2 1, 1.567, 58.9, 313
1 0 -2, 3.273, 27.2, 312
0 0 2, 3.985, 22.3, 266

```
data_NdHo3Si4
_chemical_formula_sum 'Nd1 Ho3 Si4'
_cell_length_a 5.736
_cell_length_b 3.850
_cell_length_c 7.970
_cell_angle_alpha 90.00
_cell_angle_beta 90.17
_cell_angle_gamma 90.00
_symmetry_space_group_name_H-M 'P 1 m 1'
_symmetry_Int_Tables_number 6
_symmetry_space_group_name_Hall 'P -2y'
loop_
_atom_site_label
_atom_site_type_symbol
_atom_site_fract_x
_atom_site_fract_y
_atom_site_fract_z
_atom_site_occupancy
Nd1 Nd 0.000 0.000 0.000 1
Ho1 Ho 0.272 0.000 0.500 1
Ho2 Ho 0.500 0.500 0.143 1
Ho3 Ho 0.770 0.500 0.640 1
Si1 Si 0.015 0.500 0.290 1
Si2 Si 0.261 0.500 0.777 1
Si3 Si 0.514 0.000 0.856 1
Si4 Si 0.756 0.000 0.362 1
```